(1)
Structure and theoretical PXRD pattern of PmPrNbN3 (a DFT-relaxed cell (GGA-PBE, Alexandria); Cu Ka).
No peak broadening, texture or thermal motion is included.

Cell and atoms:
```
data_PmPrNbN3
_symmetry_space_group_name_H-M 'P 1'
_symmetry_Int_Tables_number 1
_cell_length_a 7.4970
_cell_length_b 3.6402
_cell_length_c 8.3356
_cell_angle_alpha 90.00
_cell_angle_beta 97.60
_cell_angle_gamma 90.00
loop_
_symmetry_equiv_pos_as_xyz
'x,y,z'
loop_
_atom_site_label
_atom_site_fract_x
_atom_site_fract_y
_atom_site_fract_z
Pm1 0.1250 0.2500 0.1576
Pm2 0.8750 0.7500 0.8424
Pr1 0.3351 0.7500 0.8540
Pr2 0.6649 0.2500 0.1460
Nb1 0.4100 0.7500 0.3920
Nb2 0.5900 0.2500 0.6080
N1 0.1053 0.2500 0.8727
N2 0.3265 0.2500 0.4675
N3 0.3975 0.7500 0.1509
N4 0.6025 0.2500 0.8491
N5 0.6735 0.7500 0.5325
N6 0.8947 0.7500 0.1273
```

The 8 most intense peaks (5 to 70 degrees two-theta), sorted by position:
2theta	d_spacing	I_rel
10.7	8.262	39
14.9	5.929	26
26.8	3.331	25
30.1	2.964	44
32.5	2.754	23
32.8	2.731	69
34.5	2.599	100
35.2	2.549	21

(2)
Structure and theoretical PXRD pattern of SmHoPt (a DFT-relaxed cell (GGA-PBE, Alexandria); Cu Ka).
No peak broadening, texture or thermal motion is included.

Cell and atoms:
```
data_SmHoPt
_symmetry_space_group_name_H-M 'P 1'
_symmetry_Int_Tables_number 1
_cell_length_a 6.8818
_cell_length_b 13.3932
_cell_length_c 7.1617
_cell_angle_alpha 90.00
_cell_angle_beta 90.00
_cell_angle_gamma 90.00
loop_
_symmetry_equiv_pos_as_xyz
'x,y,z'
loop_
_atom_site_label
_atom_site_fract_x
_atom_site_fract_y
_atom_site_fract_z
Sm1 0.1929 0.1991 0.1072
Sm2 0.1929 0.3009 0.6072
Sm3 0.3071 0.6991 0.1072
Sm4 0.3071 0.8009 0.6072
Sm5 0.6929 0.1991 0.3928
Sm6 0.6929 0.3009 0.8928
Sm7 0.8071 0.6991 0.3928
Sm8 0.8071 0.8009 0.8928
Ho1 0.0030 0.5310 0.7613
Ho2 0.0030 0.9690 0.2613
Ho3 0.4970 0.0310 0.7613
Ho4 0.4970 0.4690 0.2613
Ho5 0.5030 0.5310 0.7387
Ho6 0.5030 0.9690 0.2387
Ho7 0.9970 0.0310 0.7387
Ho8 0.9970 0.4690 0.2387
Pt1 0.2254 0.6028 0.4591
Pt2 0.2254 0.8972 0.9591
Pt3 0.2746 0.1028 0.4591
Pt4 0.2746 0.3972 0.9591
Pt5 0.7254 0.6028 0.0409
Pt6 0.7254 0.8972 0.5409
Pt7 0.7746 0.1028 0.0409
Pt8 0.7746 0.3972 0.5409
```

The 8 most intense peaks (5 to 70 degrees two-theta), sorted by position:
2theta	d_spacing	I_rel
22.3	3.987	69
29.2	3.061	54
31.2	2.870	46
31.8	2.814	52
32.3	2.776	93
36.2	2.481	100
36.7	2.446	49
44.5	2.036	48